# 1
# MoH12C2N6O4
Simulated PXRD pattern, Cu Kα. Input: a structure optimized by DFT (GGA+U).

Crystal structure
```
MoH12C2N6O4
1.0
6.635 0.000 0.000
0.000 7.081 0.000
-1.385 0.000 10.723
Mo H C N O
2 24 4 12 8
Cartesian
1.198 1.770 2.583
4.053 5.311 8.140
0.295 4.444 3.558
0.295 6.178 3.558
-0.186 0.529 9.372
-0.186 3.011 9.372
0.876 0.275 5.522
0.876 3.265 5.522
1.886 4.444 1.332
1.886 6.177 1.332
1.240 4.194 6.986
1.240 6.427 6.986
1.361 3.813 9.374
1.361 6.809 9.374
3.890 0.272 1.349
3.890 3.268 1.349
4.011 0.654 3.738
4.011 2.887 3.738
3.365 0.904 9.391
3.365 2.637 9.391
4.375 3.816 5.202
4.375 6.806 5.202
5.437 4.070 1.351
5.437 6.552 1.351
4.956 0.903 7.166
4.956 2.637 7.166
0.699 5.311 5.388
1.488 1.770 9.470
3.762 5.311 1.253
4.552 1.770 5.336
0.327 5.311 4.100
0.858 4.153 6.042
0.858 6.468 6.042
0.833 0.601 9.478
0.833 2.940 9.478
2.419 5.311 1.215
2.832 1.770 9.508
4.418 4.141 1.246
4.418 6.480 1.246
4.393 0.613 4.681
4.393 2.928 4.681
4.924 1.770 6.623
0.455 0.262 1.938
0.455 3.278 1.938
1.012 1.770 4.362
2.967 1.770 2.178
2.284 5.311 8.546
4.239 5.311 6.361
4.796 3.803 8.786
4.796 6.819 8.786
```

Peak list (8 most intense, 5 to 70 degrees two-theta, in order of rising 2θ)
2θ (°)  d_spacing  I/Imax  h k l
15.0  5.909  100  0 1 1
16.5  5.362  32  0 0 2
16.7  5.314  81  1 0 1
18.4  4.820  54  1 1 0
23.6  3.765  82  1 1 -2
27.1  3.290  30  2 0 0
28.0  3.191  38  0 1 3
30.3  2.948  59  1 2 1

# 2
# Ca5Ho3Ti5Mn3O24
Simulated PXRD pattern, Cu Kα. Input: a structure optimized by DFT (GGA+U).

Crystal structure
```
Ca5Ho3Ti5Mn3O24
1.0
5.375 0.000 0.000
-0.050 5.617 0.000
-0.044 -0.033 15.282
Ca Ho Ti Mn O
5 3 5 3 24
Cartesian
0.000 0.000 0.000
-0.015 0.025 7.708
2.505 2.786 15.282
2.647 2.256 3.807
5.213 5.067 3.797
2.497 2.903 7.721
2.664 2.093 11.461
5.120 4.897 11.477
2.594 5.451 5.775
2.632 5.311 1.916
5.227 2.609 5.770
5.292 2.470 13.392
5.337 2.531 1.908
2.496 5.272 13.382
2.531 5.315 9.580
5.277 2.479 9.572
0.319 2.638 3.860
0.483 2.689 11.472
0.850 4.191 13.696
0.984 4.153 1.616
1.012 4.095 6.160
1.017 4.227 9.180
1.462 1.364 1.619
1.480 1.479 13.688
1.533 1.492 9.207
1.565 1.372 6.179
1.933 5.488 11.522
2.127 5.451 3.869
3.003 5.186 0.011
3.058 5.112 7.626
3.685 3.721 2.259
3.684 3.629 5.459
3.684 3.531 9.976
3.691 3.540 12.871
4.146 0.893 2.256
4.149 0.731 10.051
4.215 0.828 5.425
4.199 0.810 12.931
4.699 2.340 7.649
4.831 2.379 0.015
```

Peak list (8 most intense, 5 to 70 degrees two-theta, in order of rising 2θ)
2θ (°)  d_spacing  I/Imax  h k l
5.8  15.282  100  0 0 1
17.4  5.087  11  0 0 3
31.9  2.808  17  0 2 0
32.8  2.727  64  1 1 -4
33.0  2.713  20  1 1 4
33.3  2.687  21  2 0 0
47.0  1.933  12  2 2 0
47.6  1.910  15  0 0 8

# 3
# VZnNiP2O9
Simulated PXRD pattern, Cu Kα. Input: a structure optimized by DFT (GGA+U).

Crystal structure
```
VZnNiP2O9
1.0
7.368 0.000 0.000
0.000 6.255 0.000
-0.013 0.000 14.169
V Zn Ni P O
4 4 4 8 36
Cartesian
1.136 1.564 1.663
2.541 1.564 8.746
4.814 4.691 5.424
6.219 4.691 12.506
0.839 4.691 3.951
2.827 4.691 11.037
4.528 1.564 3.132
6.516 1.564 10.219
-0.007 0.000 7.085
-0.007 3.128 7.085
3.684 0.000 0.000
3.684 3.128 0.000
0.848 1.564 4.301
1.071 4.691 0.948
2.606 4.691 8.034
2.819 1.564 11.386
4.536 4.691 2.784
4.749 1.564 6.136
6.284 1.564 13.221
6.507 4.691 9.868
0.017 4.691 14.027
0.278 4.691 10.932
0.805 0.239 5.126
0.805 2.889 5.126
0.936 3.513 1.948
0.936 5.869 1.948
1.066 1.564 7.872
1.221 4.691 7.378
1.516 1.564 10.518
2.152 1.564 3.437
2.454 4.691 0.295
2.610 1.564 0.789
2.739 3.513 9.033
2.739 5.869 9.033
2.862 0.239 12.208
2.862 2.889 12.208
3.394 4.691 3.848
3.647 4.691 6.942
3.708 1.564 7.228
3.961 1.564 10.322
4.493 3.366 1.961
4.493 6.016 1.961
4.616 0.386 5.137
4.616 2.742 5.137
4.745 4.691 13.381
4.901 1.564 13.875
5.203 4.691 10.733
5.839 4.691 3.651
6.133 1.564 6.791
6.289 4.691 6.297
6.419 0.386 12.221
6.419 2.742 12.221
6.550 3.366 9.044
6.550 6.016 9.044
7.077 1.564 3.237
7.338 1.564 0.143
```

Peak list (8 most intense, 5 to 70 degrees two-theta, in order of rising 2θ)
2θ (°)  d_spacing  I/Imax  h k l
13.5  6.537  26  1 0 -1
25.0  3.566  100  2 0 1
27.9  3.193  27  1 0 -4
28.5  3.128  27  0 2 0
31.3  2.861  22  0 2 2
31.7  2.821  30  1 2 1
33.9  2.645  31  1 0 5
57.8  1.596  25  3 2 -5

# 4
# MgMn6O7F5
Simulated PXRD pattern, Cu Kα. Input: a structure optimized by DFT (GGA+U).

Crystal structure
```
MgMn6O7F5
1.0
5.838 0.000 0.000
-2.566 5.553 0.000
-1.041 -2.830 7.209
Mg Mn O F
1 6 7 5
Cartesian
0.000 0.000 0.000
-0.520 -1.399 3.610
0.210 1.928 2.506
-1.237 3.159 5.914
3.353 -0.353 1.357
2.018 0.835 4.638
3.517 -0.052 7.150
-2.475 1.543 5.991
0.504 0.314 3.552
-0.032 3.471 1.263
1.916 0.566 0.570
2.172 -0.674 5.912
1.784 2.412 3.522
4.674 1.209 1.142
-0.767 -1.365 5.806
-1.247 3.030 3.948
0.546 2.085 6.318
3.536 -0.258 3.384
2.725 4.211 1.418
```

Peak list (8 most intense, 5 to 70 degrees two-theta, in order of rising 2θ)
2θ (°)  d_spacing  I/Imax  h k l
22.3  3.980  100  -1 1 1
27.7  3.216  68  1 1 -1
34.2  2.625  23  1 -2 2
34.3  2.611  24  1 0 2
34.7  2.583  30  2 -1 1
35.0  2.567  17  0 1 -3
40.9  2.208  16  2 0 1
45.6  1.990  19  -2 2 2